(1)
Structure and computed X-ray diffraction stick pattern of LiMg6Sn (the PBE geometry in the Materials Project; CuKα).

Most intense lines, 10° ≤ 2θ ≤ 90°, by intensity:
h k l, Position (°2θ), intensity
1 0 4, 37.04, 100.0
0 0 2, 16.08, 52.0
1 1 1, 23.73, 51.2
0 2 2, 32.47, 34.1
2 0 0, 35.10, 24.4
1 0 0, 17.34, 23.1
2 2 2, 48.56, 22.1
3 0 4, 64.24, 19.6
0 1 3, 28.04, 17.9
1 2 0, 33.13, 17.8
2 2 6, 69.62, 12.9
2 0 2, 38.82, 12.5

Structural model:
```
data_LiMg6Sn
_cell_length_a 5.1139
_cell_length_b 6.3777
_cell_length_c 11.0104
_cell_angle_alpha 90.00
_cell_angle_beta 90.00
_cell_angle_gamma 90.00
_symmetry_space_group_name_H-M 'A m m 2'
_symmetry_Int_Tables_number 38
loop_
_symmetry_equiv_pos_as_xyz
'x,y,z'
'-x,-y,z'
'-x,y,z'
'x,-y,z'
'x,y+1/2,z+1/2'
'-x,-y+1/2,z+1/2'
'-x,y+1/2,z+1/2'
'x,-y+1/2,z+1/2'
loop_
_atom_site_label
_atom_site_fract_x
_atom_site_fract_y
_atom_site_fract_z
Li1 0.0000 0.0000 0.0000
Mg1 0.0000 0.0000 0.4994
Mg2 0.0000 0.2487 0.7507
Mg3 0.5000 0.0000 0.6661
Mg4 0.5000 0.2492 0.9175
Sn1 0.5000 0.0000 0.1648
```

---

(2)
Structure and computed X-ray diffraction stick pattern of SrPr2O4 (the PBE geometry in the Materials Project; CuKα).

Most intense lines, 10° ≤ 2θ ≤ 90°, by intensity:
h k l, Position (°2θ), intensity
3 0 2, 29.43, 100.0
1 1 2, 29.81, 86.0
0 0 4, 28.64, 52.2
2 1 0, 30.07, 44.8
2 1 4, 42.00, 41.8
6 0 0, 52.74, 29.6
3 2 2, 59.49, 28.7
4 1 0, 42.77, 25.3
4 1 4, 52.28, 20.5
1 1 6, 51.46, 20.5
3 0 6, 51.22, 20.3
0 2 0, 50.46, 18.4

Structural model:
```
data_SrPr2O4
_cell_length_a 10.4237
_cell_length_b 3.6174
_cell_length_c 12.4695
_cell_angle_alpha 90.00
_cell_angle_beta 90.00
_cell_angle_gamma 90.00
_symmetry_space_group_name_H-M 'P n m a'
_symmetry_Int_Tables_number 62
loop_
_symmetry_equiv_pos_as_xyz
'x,y,z'
'-x,-y,-z'
'-x+1/2,-y,z+1/2'
'x+1/2,y,-z+1/2'
'x+1/2,-y+1/2,-z+1/2'
'-x+1/2,y+1/2,z+1/2'
'-x,y+1/2,-z'
'x,-y+1/2,z'
loop_
_atom_site_label
_atom_site_fract_x
_atom_site_fract_y
_atom_site_fract_z
Sr1 0.2482 0.2500 0.1457
Pr1 0.0713 0.2500 0.8843
Pr2 0.0884 0.2500 0.3896
O1 0.0038 0.2500 0.2127
O2 0.0706 0.2500 0.5827
O3 0.1369 0.7500 0.0162
O4 0.2183 0.7500 0.3132
```